[1]
For Fe2RhAu, a GGA-PBE-relaxed structure gives the theoretical X-ray diffraction stick pattern in this record (λ = 1.5418 Å (Cu Kα)).

Principal peaks in the range 15 to 90 degrees two-theta, most intense first:
- 40.9°, rel. 100, hkl 1 1 1
- 44.9°, rel. 78, hkl 3 1 -1
- 33.1°, rel. 51, hkl 2 0 1
- 40.3°, rel. 50, hkl 2 0 -2
- 41.2°, rel. 47, hkl 4 0 0
- 80.6°, rel. 25, hkl 4 2 0
- 24.0°, rel. 23, hkl 2 0 -1
- 20.4°, rel. 22, hkl 0 0 1
- 52.4°, rel. 20, hkl 2 0 2
- 70.8°, rel. 15, hkl 1 1 -3
- 72.1°, rel. 15, hkl 5 1 1
- 20.3°, rel. 15, hkl 2 0 0

Structure:
```
data_Fe2RhAu
_chemical_formula_sum 'Fe4 Rh2 Au2'
_space_group_name_H-M_alt 'C 1 m 1'
_space_group_IT_number 8
_cell_length_a 9.1989
_cell_length_b 2.8427
_cell_length_c 4.5654
_cell_angle_alpha 90.00
_cell_angle_beta 107.75
_cell_angle_gamma 90.00
loop_
_space_group_symop_operation_xyz
'x,y,z'
'x,-y,z'
'x+1/2,y+1/2,z'
'x+1/2,-y+1/2,z'
loop_
_atom_site_label
_atom_site_type_symbol
_atom_site_fract_x
_atom_site_fract_y
_atom_site_fract_z
_atom_site_occupancy
Fe1 Fe 0.0000 0.0000 0.0000 1
Fe2 Fe 0.2214 0.5000 0.2797 1
Rh1 Rh 0.2505 0.0000 0.8069 1
Au1 Au 0.4780 0.0000 0.4877 1
```

---

[2]
For Cs3In2Bi2, a GGA-PBE-relaxed structure gives the theoretical X-ray diffraction stick pattern in this record (λ = 1.5418 Å (Cu Kα)).

Principal peaks in the range 15 to 90 degrees two-theta, most intense first:
- 24.5°, rel. 100, hkl 1 1 2
- 28.0°, rel. 79, hkl 1 1 4
- 24.1°, rel. 73, hkl 0 1 5
- 28.6°, rel. 65, hkl 0 2 0
- 33.0°, rel. 53, hkl 1 0 7
- 44.3°, rel. 51, hkl 1 2 7
- 47.5°, rel. 41, hkl 2 2 0
- 37.1°, rel. 33, hkl 2 0 0
- 23.3°, rel. 30, hkl 0 0 6
- 44.7°, rel. 28, hkl 2 1 5
- 45.9°, rel. 27, hkl 0 1 11
- 33.1°, rel. 25, hkl 1 1 6

Structure:
```
data_Cs3In2Bi2
_chemical_formula_sum 'Cs6 In4 Bi4'
_space_group_name_H-M_alt 'I m m m'
_space_group_IT_number 71
_space_group_name_Hall '-I 2 2'
_cell_length_a 4.8452
_cell_length_b 6.2381
_cell_length_c 22.9068
_cell_angle_alpha 90.00
_cell_angle_beta 90.00
_cell_angle_gamma 90.00
loop_
_atom_site_label
_atom_site_type_symbol
_atom_site_fract_x
_atom_site_fract_y
_atom_site_fract_z
_atom_site_occupancy
Cs1 Cs 0.0000 0.0000 0.0000 1
Cs2 Cs 0.0000 0.5000 0.3159 1
In1 In 0.0000 0.0000 0.4386 1
Bi1 Bi 0.0000 0.5000 0.1352 1
```

---

[3]
For Ho4Se4S, a GGA-PBE-relaxed structure gives the theoretical X-ray diffraction stick pattern in this record (λ = 1.5418 Å (Cu Kα)).

Principal peaks in the range 15 to 90 degrees two-theta, most intense first:
- 31.8°, rel. 100, hkl 3 1 0
- 45.2°, rel. 75, hkl 3 1 2
- 31.3°, rel. 49, hkl 0 0 2
- 56.3°, rel. 36, hkl 2 4 2
- 45.6°, rel. 33, hkl 2 4 0
- 27.3°, rel. 26, hkl 1 2 1
- 84.0°, rel. 21, hkl 5 5 2
- 74.5°, rel. 17, hkl 3 1 4
- 75.3°, rel. 15, hkl 6 2 2
- 75.6°, rel. 14, hkl 5 5 0
- 20.0°, rel. 13, hkl 2 0 0
- 18.4°, rel. 12, hkl 1 0 1

Structure:
```
data_Ho4Se4S
_chemical_formula_sum 'Ho8 Se8 S2'
_space_group_name_H-M_alt 'I 4/m'
_space_group_IT_number 87
_space_group_name_Hall '-I 4'
_cell_length_a 8.8976
_cell_length_b 8.8976
_cell_length_c 5.7172
_cell_angle_alpha 90.00
_cell_angle_beta 90.00
_cell_angle_gamma 90.00
loop_
_atom_site_label
_atom_site_type_symbol
_atom_site_fract_x
_atom_site_fract_y
_atom_site_fract_z
_atom_site_occupancy
Ho1 Ho 0.0972 0.7099 0.0000 1
Se1 Se 0.0943 0.7055 0.5000 1
S1 S 0.0000 0.0000 0.0000 1
```

---

[4]
For Sm4ErMg5, a GGA-PBE-relaxed structure gives the theoretical X-ray diffraction stick pattern in this record (λ = 1.5418 Å (Cu Kα)).

Principal peaks in the range 15 to 90 degrees two-theta, most intense first:
- 33.1°, rel. 100, hkl 1 1 0
- 23.3°, rel. 41, hkl 1 0 0
- 59.1°, rel. 25, hkl 2 1 5
- 23.2°, rel. 21, hkl 0 0 5
- 40.8°, rel. 19, hkl 1 1 5
- 53.5°, rel. 17, hkl 2 1 0
- 59.0°, rel. 12, hkl 1 1 10
- 47.5°, rel. 12, hkl 2 0 0
- 79.2°, rel. 11, hkl 3 1 0
- 53.4°, rel. 9, hkl 1 0 10
- 69.3°, rel. 8, hkl 2 0 10
- 74.2°, rel. 7, hkl 2 1 10

Structure:
```
data_Sm4ErMg5
_chemical_formula_sum 'Sm4 Er1 Mg5'
_space_group_name_H-M_alt 'P 4/m m m'
_space_group_IT_number 123
_space_group_name_Hall '-P 4 2'
_cell_length_a 3.8249
_cell_length_b 3.8249
_cell_length_c 19.2099
_cell_angle_alpha 90.00
_cell_angle_beta 90.00
_cell_angle_gamma 90.00
loop_
_atom_site_label
_atom_site_type_symbol
_atom_site_fract_x
_atom_site_fract_y
_atom_site_fract_z
_atom_site_occupancy
Sm1 Sm 0.0000 0.0000 0.1013 1
Sm2 Sm 0.0000 0.0000 0.3033 1
Er1 Er 0.0000 0.0000 0.5000 1
Mg1 Mg 0.5000 0.5000 0.0000 1
Mg2 Mg 0.5000 0.5000 0.2023 1
Mg3 Mg 0.5000 0.5000 0.4045 1
```

---

[5]
For Np3CN2, a GGA-PBE-relaxed structure gives the theoretical X-ray diffraction stick pattern in this record (λ = 1.5418 Å (Cu Kα)).

Principal peaks in the range 15 to 90 degrees two-theta, most intense first:
- 31.5°, rel. 100, hkl 1 1 0
- 36.6°, rel. 64, hkl 0 2 0
- 62.7°, rel. 46, hkl 1 3 0
- 52.7°, rel. 38, hkl 2 0 0
- 65.8°, rel. 15, hkl 2 2 0
- 89.0°, rel. 11, hkl 3 0 3
- 89.1°, rel. 11, hkl 1 4 3
- 86.2°, rel. 10, hkl 3 1 0
- 86.3°, rel. 10, hkl 1 3 6
- 52.7°, rel. 7, hkl 0 0 6
- 77.7°, rel. 7, hkl 0 4 0

Structure:
```
data_Np3CN2
_chemical_formula_sum 'Np6 C2 N4'
_space_group_name_H-M_alt 'I m m m'
_space_group_IT_number 71
_space_group_name_Hall '-I 2 2'
_cell_length_a 3.4797
_cell_length_b 4.9154
_cell_length_c 10.4199
_cell_angle_alpha 90.00
_cell_angle_beta 90.00
_cell_angle_gamma 90.00
loop_
_atom_site_label
_atom_site_type_symbol
_atom_site_fract_x
_atom_site_fract_y
_atom_site_fract_z
_atom_site_occupancy
Np1 Np 0.0000 0.0000 0.0000 1
Np2 Np 0.0000 0.0000 0.3302 1
C1 C 0.0000 0.5000 0.0000 1
N1 N 0.0000 0.5000 0.3356 1
```

---

[6]
For AcPu2Sb2Au2, a GGA-PBE-relaxed structure gives the theoretical X-ray diffraction stick pattern in this record (λ = 1.5418 Å (Cu Kα)).

Principal peaks in the range 15 to 90 degrees two-theta, most intense first:
- 31.3°, rel. 100, hkl 1 0 7
- 36.3°, rel. 90, hkl 1 1 0
- 48.7°, rel. 30, hkl 0 2 7
- 62.2°, rel. 29, hkl 2 1 7
- 65.3°, rel. 22, hkl 3 0 0
- 39.6°, rel. 20, hkl 1 0 10
- 77.1°, rel. 18, hkl 2 2 0
- 85.6°, rel. 15, hkl 1 3 7
- 52.3°, rel. 11, hkl 0 1 14
- 37.7°, rel. 9, hkl 1 1 3
- 67.6°, rel. 8, hkl 2 1 10
- 54.8°, rel. 8, hkl 0 2 10

Structure:
```
data_AcPu2Sb2Au2
_chemical_formula_sum 'Ac3 Pu6 Sb6 Au6'
_space_group_name_H-M_alt 'R -3 m'
_space_group_IT_number 166
_space_group_name_Hall '-R 3 2"'
_cell_length_a 4.9467
_cell_length_b 4.9467
_cell_length_c 26.8502
_cell_angle_alpha 90.00
_cell_angle_beta 90.00
_cell_angle_gamma 120.00
loop_
_atom_site_label
_atom_site_type_symbol
_atom_site_fract_x
_atom_site_fract_y
_atom_site_fract_z
_atom_site_occupancy
Ac1 Ac 0.0000 0.0000 0.0000 1
Pu1 Pu 0.0000 0.0000 0.1426 1
Sb1 Sb 0.0000 0.0000 0.2619 1
Au1 Au 0.0000 0.0000 0.4404 1
```

---

[7]
For TbGaPt4, a GGA-PBE-relaxed structure gives the theoretical X-ray diffraction stick pattern in this record (λ = 1.5418 Å (Cu Kα)).

Principal peaks in the range 15 to 90 degrees two-theta, most intense first:
- 35.5°, rel. 100, hkl 1 1 2
- 36.3°, rel. 66, hkl 1 5 0
- 43.2°, rel. 54, hkl 0 6 2
- 65.3°, rel. 32, hkl 2 6 2
- 46.4°, rel. 29, hkl 2 0 0
- 46.1°, rel. 23, hkl 1 7 0
- 38.8°, rel. 15, hkl 1 5 1
- 66.9°, rel. 13, hkl 1 5 4
- 75.3°, rel. 12, hkl 1 11 2
- 46.7°, rel. 12, hkl 1 1 3
- 54.1°, rel. 12, hkl 0 0 4
- 78.9°, rel. 10, hkl 3 1 2

Structure:
```
data_TbGaPt4
_chemical_formula_sum 'Tb4 Ga4 Pt16'
_space_group_name_H-M_alt 'C m c m'
_space_group_IT_number 63
_space_group_name_Hall '-C 2c 2'
_cell_length_a 3.9103
_cell_length_b 15.9564
_cell_length_c 6.7848
_cell_angle_alpha 90.00
_cell_angle_beta 90.00
_cell_angle_gamma 90.00
loop_
_atom_site_label
_atom_site_type_symbol
_atom_site_fract_x
_atom_site_fract_y
_atom_site_fract_z
_atom_site_occupancy
Tb1 Tb 0.0000 0.1007 0.2500 1
Ga1 Ga 0.0000 0.2367 0.7500 1
Pt1 Pt 0.0000 0.0761 0.7500 1
Pt2 Pt 0.0000 0.3250 0.0444 1
Pt3 Pt 0.0000 0.5000 0.0000 1
```

---

[8]
For Ta2GaH, a GGA-PBE-relaxed structure gives the theoretical X-ray diffraction stick pattern in this record (λ = 1.5418 Å (Cu Kα)).

Principal peaks in the range 15 to 90 degrees two-theta, most intense first:
- 41.0°, rel. 100, hkl 0 1 5
- 38.9°, rel. 93, hkl 1 0 4
- 35.3°, rel. 61, hkl 1 0 1
- 37.5°, rel. 45, hkl 0 0 9
- 75.5°, rel. 36, hkl 1 1 9
- 62.8°, rel. 34, hkl 1 1 0
- 55.7°, rel. 25, hkl 1 0 10
- 24.7°, rel. 23, hkl 0 0 6
- 71.4°, rel. 19, hkl 0 1 14
- 77.8°, rel. 15, hkl 2 0 5
- 76.4°, rel. 13, hkl 0 2 4
- 67.2°, rel. 12, hkl 1 0 13

Structure:
```
data_Ta2GaH
_chemical_formula_sum 'Ta6 Ga3 H3'
_space_group_name_H-M_alt 'R 3 m'
_space_group_IT_number 160
_space_group_name_Hall 'R 3 -2"'
_cell_length_a 2.9584
_cell_length_b 2.9584
_cell_length_c 21.5841
_cell_angle_alpha 90.00
_cell_angle_beta 90.00
_cell_angle_gamma 120.00
loop_
_atom_site_label
_atom_site_type_symbol
_atom_site_fract_x
_atom_site_fract_y
_atom_site_fract_z
_atom_site_occupancy
Ta1 Ta 0.0000 0.0000 0.0000 1
Ta2 Ta 0.0000 0.0000 0.2100 1
Ga1 Ga 0.0000 0.0000 0.4387 1
H1 H 0.0000 0.0000 0.6073 1
```